[1]
# Sm5HoEr3
Theoretical PXRD pattern, λ = 1.5418 Å (Cu Kα). Input: a GGA-PBE-relaxed structure.
Intensities are scaled so that the largest is 100.

Atomic structure:
Unit cell a=18.5982 b=6.3930 c=11.4212 alpha=90.00 beta=114.91 gamma=90.00
Space group C2/c (No. 15)
Asymmetric unit:
1 Sm 0.0000 0.1049 0.2500 (multiplicity 4)
2 Sm 0.1648 0.1995 0.7075 (multiplicity 8)
3 Sm 0.1720 0.3220 0.3620 (multiplicity 8)
4 Ho 0.0000 0.3733 0.7500 (multiplicity 4)
5 Er 0.0000 0.5000 0.0000 (multiplicity 4)
6 Er 0.1609 0.2049 0.0132 (multiplicity 8)

Peak list (10 most intense, 15 to 90 degrees two-theta, sorted by position)
2theta  d/Å  Rel. int.  index
24.36  3.654  12  1 1 2
27.72  3.218  14  3 1 -3
27.87  3.201  25  0 2 0
29.89  2.989  26  2 2 0
31.50  2.840  50  5 1 -3
31.82  2.812  100  6 0 0
32.39  2.764  29  2 2 1
34.04  2.634  24  4 2 -1
35.23  2.547  14  4 2 0
56.28  1.635  16  11 1 -3

[2]
# Sm12Ho2Er
Theoretical PXRD pattern, λ = 1.5418 Å (Cu Kα). Input: a GGA-PBE-relaxed structure.
Intensities are scaled so that the largest is 100.

Atomic structure:
Unit cell a=7.1428 b=11.4884 c=24.7521 alpha=90.00 beta=90.00 gamma=90.00
Space group Cmme (No. 67)
Asymmetric unit:
1 Sm 0.0000 0.0012 0.0752 (multiplicity 8)
2 Sm 0.0000 0.0229 0.5604 (multiplicity 8)
3 Sm 0.2322 0.2500 0.4139 (multiplicity 8)
4 Sm 0.2489 0.2500 0.8713 (multiplicity 8)
5 Sm 0.2500 0.0000 0.1988 (multiplicity 8)
6 Sm 0.2500 0.0000 0.3249 (multiplicity 8)
7 Ho 0.0000 0.2500 0.2656 (multiplicity 4)
8 Ho 0.0000 0.2500 0.7302 (multiplicity 4)
9 Er 0.0000 0.2500 0.9995 (multiplicity 4)

Peak list (10 most intense, 15 to 90 degrees two-theta, sorted by position)
2theta  d/Å  Rel. int.  index
28.86  3.093  27  2 0 4
29.67  3.011  43  0 2 7
30.34  2.946  64  2 2 2
31.14  2.872  65  0 4 0
31.42  2.847  19  2 2 3
32.88  2.724  100  0 2 8
36.78  2.444  35  2 2 6
56.52  1.628  20  0 6 8
58.14  1.587  22  2 4 11
61.11  1.517  20  4 4 0

[3]
# Sm6Ho3Er2
Theoretical PXRD pattern, λ = 1.5418 Å (Cu Kα). Input: a GGA-PBE-relaxed structure.
Intensities are scaled so that the largest is 100.

Atomic structure:
Unit cell a=4.7475 b=4.7475 c=33.3828 alpha=90.00 beta=90.00 gamma=90.00
Space group I4/mmm (No. 139)
Asymmetric unit:
1 Sm 0.0000 0.0000 0.1989 (multiplicity 4)
2 Sm 0.0000 0.5000 0.1202 (multiplicity 8)
3 Ho 0.0000 0.0000 0.3017 (multiplicity 4)
4 Ho 0.0000 0.0000 0.5000 (multiplicity 2)
5 Er 0.0000 0.0000 0.0454 (multiplicity 4)

Peak list (10 most intense, 15 to 90 degrees two-theta, sorted by position)
2theta  d/Å  Rel. int.  index
26.53  3.360  23  1 1 0
28.66  3.114  100  1 1 4
32.18  2.782  23  0 0 12
34.28  2.616  75  1 1 8
37.90  2.374  62  2 0 0
50.55  1.806  26  2 0 12
54.68  1.678  21  2 2 0
62.10  1.495  24  1 1 20
62.90  1.478  22  3 1 4
66.15  1.413  22  3 1 8